# SrLiAc2Hg4
Simulated powder X-ray diffraction pattern, Cu Kα (λ = 1.5418 Å). Input: a cell relaxed with GGA-PBE.
Lines closer than 0.1° are merged.

Structural model:
Unit cell a=9.662 b=9.662 c=9.662 alpha=33.33 beta=33.33 gamma=33.33
Element x y z (fractional)
1 Sr 0.000 0.000 0.000
2 Li 0.500 0.500 0.500
3 Ac 0.245 0.245 0.245
4 Ac 0.755 0.755 0.755
5 Hg 0.126 0.126 0.126
6 Hg 0.378 0.378 0.378
7 Hg 0.622 0.622 0.622
8 Hg 0.874 0.874 0.874

Main lines, low angle first (10 to 90 degrees two-theta):
two_theta	d (Å)	I (rel.)
19.60	4.528	20.8
32.15	2.784	98.8
32.31	2.771	100.0
38.02	2.367	14.4
46.22	1.964	36.8
57.21	1.610	18.3
57.52	1.602	38.8
57.62	1.600	19.8
67.25	1.392	11.3
67.62	1.385	12.4
76.59	1.244	15.9
76.86	1.240	17.0